(1)
The following is a computed powder diffraction line list of Nb2VGe2. It was derived from a structure optimized by DFT (GGA-PBE), using Cu Kα, 1.54184 Å.

Lattice parameters (Å, degrees): 8.008 8.008 6.125 90.00 90.00 154.06
Fractional positions:
Nb (0.021, 0.979, 0.500)
Nb (0.188, 0.812, 0.107)
Nb (0.812, 0.188, 0.607)
Nb (0.979, 0.021, 0.000)
V (0.400, 0.600, 0.302)
V (0.600, 0.400, 0.802)
Ge (0.187, 0.813, 0.624)
Ge (0.427, 0.573, 0.719)
Ge (0.573, 0.427, 0.219)
Ge (0.813, 0.187, 0.124)

Main lines, by angle (2θ = 10–90°):
d_spacing  intensity
3.062  26
2.851  20
2.663  17
2.409  17
2.357  100
2.306  72
2.127  44
1.982  24
1.868  19
1.798  29
1.645  13
1.360  16

(2)
The following is a computed powder diffraction line list of Nb2V3Ge. It was derived from a structure optimized by DFT (GGA-PBE), using Cu Kα, 1.54184 Å.

Lattice parameters (Å, degrees): 8.567 4.960 5.159 90.00 123.65 90.00
Fractional positions:
Nb (0.125, 0.000, 0.376)
Nb (0.375, 0.500, 0.624)
Nb (0.625, 0.500, 0.376)
Nb (0.875, 0.000, 0.624)
V (0.000, 0.500, 0.000)
V (0.250, 0.250, 0.000)
V (0.250, 0.750, 0.000)
V (0.500, 0.000, 0.000)
V (0.750, 0.250, 0.000)
V (0.750, 0.750, 0.000)
Ge (0.000, 0.500, 0.500)
Ge (0.500, 0.000, 0.500)

Main lines, by angle (2θ = 10–90°):
d_spacing  intensity
2.575  31
2.477  47
2.209  48
2.146  100
2.117  18
2.112  9
2.035  27
1.508  10
1.373  13
1.357  13
1.288  20
1.237  12

(3)
The following is a computed powder diffraction line list of NbV12Ge6. It was derived from a structure optimized by DFT (GGA-PBE), using Cu Kα, 1.54184 Å.

Lattice parameters (Å, degrees): 6.951 6.951 6.951 105.22 105.22 105.22
Fractional positions:
Nb (0.000, 0.000, 0.000)
V (0.110, 0.500, 0.890)
V (0.110, 0.890, 0.500)
V (0.148, 0.392, 0.392)
V (0.392, 0.148, 0.392)
V (0.392, 0.392, 0.148)
V (0.500, 0.110, 0.890)
V (0.500, 0.890, 0.110)
V (0.608, 0.608, 0.852)
V (0.608, 0.852, 0.608)
V (0.852, 0.608, 0.608)
V (0.890, 0.110, 0.500)
V (0.890, 0.500, 0.110)
Ge (0.273, 0.273, 0.723)
Ge (0.273, 0.723, 0.273)
Ge (0.277, 0.727, 0.727)
Ge (0.723, 0.273, 0.273)
Ge (0.727, 0.277, 0.727)
Ge (0.727, 0.727, 0.277)

Main lines, by angle (2θ = 10–90°):
d_spacing  intensity
3.315  37
2.761  52
2.726  33
2.527  100
2.473  81
2.235  42
2.122  54
2.089  53
2.072  38
1.940  56
1.903  84
1.737  66

(4)
The following is a computed powder diffraction line list of Nb4VGe. It was derived from a structure optimized by DFT (GGA-PBE), using Cu Kα, 1.54184 Å.

Lattice parameters (Å, degrees): 6.915 6.915 6.915 115.73 115.73 97.56
Fractional positions:
Nb (0.169, 0.000, 0.169)
Nb (0.233, 0.548, 0.315)
Nb (0.233, 0.919, 0.685)
Nb (0.298, 0.483, 0.815)
Nb (0.669, 0.483, 0.185)
Nb (0.750, 0.081, 0.331)
Nb (0.750, 0.419, 0.669)
Nb (0.831, 0.000, 0.831)
V (0.247, 0.247, 0.000)
V (0.997, 0.497, 0.500)
Ge (0.488, 0.988, 0.500)
Ge (0.738, 0.738, 0.000)

Main lines, by angle (2θ = 10–90°):
d_spacing  intensity
3.678  42
2.862  100
2.326  43
2.278  35
2.072  42
1.937  13
1.839  10
1.705  13
1.628  27
1.620  45
1.142  13
1.104  11